Record 1
This entry pairs a crystal structure of Nd4Tl3 with its simulated powder X-ray diffraction pattern. Radiation: Cu Ka. Structure: the GGA-PBE geometry in Alexandria.
Kinematic intensities with the Lorentz-polarization factor, no thermal factor.

Largest 6 diffraction maxima, by intensity, 10° ≤ 2θ ≤ 90°:
| two_theta | intensity | (hkl) |
| --- | --- | --- |
| 32.1 | 100.0 | 4 1 0 |
| 57.2 | 23.2 | 3 6 0 |
| 46.1 | 16.9 | 6 -2 2 |
| 57.4 | 6.9 | 3 -1 4 |
| 76.4 | 5.3 | 11 -6 2 |
| 76.5 | 4.8 | 8 -5 4 |

Crystal structure
Lattice parameters (Å, degrees): 14.7569 14.7569 6.8099 90.00 90.00 120.00
Space group R-3 (No. 148, hexagonal axes)
One atom of each set of equivalent atoms:
1 Nd 0.0000 0.0000 0.0000 [3 per cell]
2 Nd 0.0000 0.0000 0.5000 [3 per cell]
3 Nd 0.0557 0.8017 0.1817 [18 per cell]
4 Tl 0.0502 0.8258 0.7020 [18 per cell]

---

Record 2
This entry pairs a crystal structure of Rb3Mg2Br2Cl5 with its simulated powder X-ray diffraction pattern. Radiation: Cu Ka. Structure: the GGA-PBE geometry in Alexandria.
Kinematic intensities with the Lorentz-polarization factor, no thermal factor.

Largest 6 diffraction maxima, by intensity, 10° ≤ 2θ ≤ 90°:
| two_theta | intensity | (hkl) |
| --- | --- | --- |
| 31.7 | 100.0 | 1 1 6 |
| 35.3 | 73.9 | 2 0 0 |
| 24.8 | 58.6 | 1 1 0 |
| 49.0 | 29.4 | 2 0 10 |
| 61.1 | 27.3 | 3 1 6 |
| 50.8 | 24.6 | 2 2 0 |

Crystal structure
Lattice parameters (Å, degrees): 5.0850 5.0850 27.2836 90.00 90.00 90.00
Space group I4/mmm (No. 139)
One atom of each set of equivalent atoms:
1 Rb 0.0000 0.0000 0.0000 [2 per cell]
2 Rb 0.0000 0.0000 0.1792 [4 per cell]
3 Mg 0.0000 0.0000 0.4065 [4 per cell]
4 Br 0.0000 0.0000 0.3085 [4 per cell]
5 Cl 0.0000 0.0000 0.5000 [2 per cell]
6 Cl 0.0000 0.5000 0.0916 [8 per cell]